No. 1
This entry pairs a crystal structure of Na2Sn2Se3 with its calculated powder X-ray diffraction pattern. Radiation: Cu Ka. Structure: a cell relaxed with PBE.
Kinematic intensities with the Lorentz-polarization factor, no thermal factor.

Principal peaks in the range 2θ from 10° to 90°, by angle:
Position (°2θ)	Rel. int.
12.8	100
24.8	29
25.0	71
28.0	28
28.6	48
34.7	26
39.5	34
40.8	30

Crystal structure
abc: 7.8728 8.4047 7.7222
angles: 90.00 118.92 90.00
Fractional coordinates of all 14 atoms:
1 Na 0.1229 0.1174 0.2192
2 Na 0.1229 0.3826 0.7192
3 Na 0.8771 0.6174 0.2808
4 Na 0.8771 0.8826 0.7808
5 Sn 0.4277 0.6649 0.2951
6 Sn 0.4277 0.8351 0.7951
7 Sn 0.5723 0.1649 0.2049
8 Sn 0.5723 0.3351 0.7049
9 Se 0.2252 0.0689 0.8934
10 Se 0.2252 0.4311 0.3934
11 Se 0.5000 0.0000 0.5000
12 Se 0.5000 0.5000 0.0000
13 Se 0.7748 0.5689 0.6066
14 Se 0.7748 0.9311 0.1066

=====

No. 2
This entry pairs a crystal structure of Na3SnSe4 with its calculated powder X-ray diffraction pattern. Radiation: Cu Ka. Structure: a cell relaxed with PBE.
Kinematic intensities with the Lorentz-polarization factor, no thermal factor.

Principal peaks in the range 2θ from 10° to 90°, by angle:
Position (°2θ)	Rel. int.
15.9	24
16.2	51
22.3	100
27.5	38
27.9	32
35.4	35
38.5	48
45.7	33

Crystal structure
abc: 7.9668 10.1420 11.1326
angles: 90.00 90.00 90.00
Fractional coordinates of all 32 atoms:
1 Na 0.1494 0.0266 0.2305
2 Na 0.1494 0.4734 0.2305
3 Na 0.1978 0.2500 0.9471
4 Na 0.3022 0.7500 0.4471
5 Na 0.3506 0.5266 0.7305
6 Na 0.3506 0.9734 0.7305
7 Na 0.6494 0.0266 0.2695
8 Na 0.6494 0.4734 0.2695
9 Na 0.6978 0.2500 0.5529
10 Na 0.8022 0.7500 0.0529
11 Na 0.8506 0.5266 0.7695
12 Na 0.8506 0.9734 0.7695
13 Sn 0.1468 0.2500 0.5114
14 Sn 0.3532 0.7500 0.0114
15 Sn 0.6468 0.2500 0.9886
16 Sn 0.8532 0.7500 0.4886
17 Se 0.0004 0.2500 0.7139
18 Se 0.9996 0.7500 0.2861
19 Se 0.0577 0.7500 0.6656
20 Se 0.1655 0.5439 0.9709
21 Se 0.1655 0.9561 0.9709
22 Se 0.3345 0.0439 0.4709
23 Se 0.3345 0.4561 0.4709
24 Se 0.4423 0.2500 0.1656
25 Se 0.5004 0.2500 0.7861
26 Se 0.4996 0.7500 0.2139
27 Se 0.5577 0.7500 0.8344
28 Se 0.6655 0.5439 0.5291
29 Se 0.6655 0.9561 0.5291
30 Se 0.8345 0.0439 0.0291
31 Se 0.8345 0.4561 0.0291
32 Se 0.9423 0.2500 0.3344

=====

No. 3
This entry pairs a crystal structure of NaSn2Se3 with its calculated powder X-ray diffraction pattern. Radiation: Cu Ka. Structure: a cell relaxed with PBE.
Kinematic intensities with the Lorentz-polarization factor, no thermal factor.

Principal peaks in the range 2θ from 10° to 90°, by angle:
Position (°2θ)	Rel. int.
16.7	18
29.9	100
30.6	48
42.4	19
43.2	18
43.3	73
53.2	19
53.8	20

Crystal structure
abc: 7.3356 7.3356 7.3356
angles: 146.82 133.02 58.72
Fractional coordinates of all 6 atoms:
1 Na 0.0000 0.0000 0.0000
2 Sn 0.3358 0.3358 0.0000
3 Sn 0.6642 0.6642 0.0000
4 Se 0.1754 0.6754 0.5000
5 Se 0.5000 0.0000 0.5000
6 Se 0.8246 0.3246 0.5000

=====

No. 4
This entry pairs a crystal structure of Na2Sn4Se9 with its calculated powder X-ray diffraction pattern. Radiation: Cu Ka. Structure: a cell relaxed with PBE.
Kinematic intensities with the Lorentz-polarization factor, no thermal factor.

Principal peaks in the range 2θ from 10° to 90°, by angle:
Position (°2θ)	Rel. int.
14.5	36
17.3	32
23.7	34
29.0	100
35.0	33
38.2	74
43.6	30
44.6	58

Crystal structure
abc: 7.0432 7.0432 19.0078
angles: 90.03 90.03 60.00
Fractional coordinates of all 30 atoms:
1 Na 0.0004 0.0005 0.1478
2 Na 0.9995 0.9996 0.3522
3 Na 0.0005 0.0004 0.6478
4 Na 0.9996 0.9995 0.8522
5 Sn 0.3333 0.3330 0.1869
6 Sn 0.3333 0.3328 0.4819
7 Sn 0.3330 0.3333 0.6869
8 Sn 0.3328 0.3333 0.9819
9 Sn 0.6672 0.6667 0.0181
10 Sn 0.6670 0.6667 0.3131
11 Sn 0.6667 0.6672 0.5181
12 Sn 0.6667 0.6670 0.8131
13 Se 0.0002 0.3175 0.7502
14 Se 0.9998 0.6825 0.2498
15 Se 0.0389 0.3407 0.0801
16 Se 0.0392 0.6211 0.5801
17 Se 0.3162 0.6838 0.7500
18 Se 0.3175 0.0002 0.2502
19 Se 0.3407 0.0389 0.5801
20 Se 0.3406 0.6211 0.0803
21 Se 0.3789 0.6594 0.4197
22 Se 0.3789 0.9608 0.9199
23 Se 0.6211 0.0392 0.0801
24 Se 0.6211 0.3406 0.5803
25 Se 0.6594 0.3789 0.9197
26 Se 0.6593 0.9611 0.4199
27 Se 0.6825 0.9998 0.7498
28 Se 0.6838 0.3162 0.2500
29 Se 0.9608 0.3789 0.4199
30 Se 0.9611 0.6593 0.9199

=====

No. 5
This entry pairs a crystal structure of Na2ThSnSe4 with its calculated powder X-ray diffraction pattern. Radiation: Cu Ka. Structure: a cell relaxed with PBE.
Kinematic intensities with the Lorentz-polarization factor, no thermal factor.

Principal peaks in the range 2θ from 10° to 90°, by angle:
Position (°2θ)	Rel. int.
12.8	72
24.1	38
29.3	100
29.5	49
41.6	38
42.0	38
42.5	35
52.1	20

Crystal structure
abc: 7.3311 4.3110 7.5302
angles: 90.00 109.21 90.00
Fractional coordinates of all 8 atoms:
1 Na 0.0000 0.0000 0.0000
2 Na 0.0000 0.5000 0.5000
3 Th 0.5000 0.0000 0.5000
4 Sn 0.5000 0.5000 0.0000
5 Se 0.2654 0.0000 0.7420
6 Se 0.2669 0.5000 0.2639
7 Se 0.7331 0.5000 0.7361
8 Se 0.7346 0.0000 0.2580

=====

No. 6
This entry pairs a crystal structure of Na2SrThSe4 with its calculated powder X-ray diffraction pattern. Radiation: Cu Ka. Structure: a cell relaxed with PBE.
Kinematic intensities with the Lorentz-polarization factor, no thermal factor.

Principal peaks in the range 2θ from 10° to 90°, by angle:
Position (°2θ)	Rel. int.
12.4	22
12.7	62
23.9	34
29.1	100
29.2	49
41.3	56
42.0	36
51.4	20

Crystal structure
abc: 7.4050 4.3714 7.5738
angles: 90.00 109.55 90.00
Fractional coordinates of all 8 atoms:
1 Na 0.0000 0.0000 0.0000
2 Na 0.0000 0.5000 0.5000
3 Sr 0.5000 0.0000 0.5000
4 Th 0.5000 0.5000 0.0000
5 Se 0.2623 0.5000 0.2350
6 Se 0.2647 0.0000 0.7702
7 Se 0.7353 0.0000 0.2298
8 Se 0.7377 0.5000 0.7650

=====

No. 7
This entry pairs a crystal structure of Na2Ta3Se6 with its calculated powder X-ray diffraction pattern. Radiation: Cu Ka. Structure: a cell relaxed with PBE.
Kinematic intensities with the Lorentz-polarization factor, no thermal factor.

Principal peaks in the range 2θ from 10° to 90°, by angle:
Position (°2θ)	Rel. int.
11.5	100
29.9	41
34.2	29
37.7	54
41.7	17
46.3	16
51.9	23
53.4	13

Crystal structure
abc: 15.7520 15.7520 15.7520
angles: 22.33 22.33 22.33
Fractional coordinates of all 22 atoms:
1 Na 0.0831 0.0831 0.0831
2 Na 0.4165 0.4165 0.4165
3 Na 0.5835 0.5835 0.5835
4 Na 0.9169 0.9169 0.9169
5 Ta 0.0000 0.0000 0.0000
6 Ta 0.1662 0.5000 0.8338
7 Ta 0.3334 0.3334 0.3334
8 Ta 0.5000 0.8338 0.1662
9 Ta 0.6666 0.6666 0.6666
10 Ta 0.8338 0.1662 0.5000
11 Se 0.0336 0.7027 0.3714
12 Se 0.1298 0.7974 0.4651
13 Se 0.2026 0.8702 0.5349
14 Se 0.2973 0.9664 0.6286
15 Se 0.3714 0.0336 0.7027
16 Se 0.4651 0.1298 0.7974
17 Se 0.5349 0.2026 0.8702
18 Se 0.6286 0.2973 0.9664
19 Se 0.7027 0.3714 0.0336
20 Se 0.7974 0.4651 0.1298
21 Se 0.8702 0.5349 0.2026
22 Se 0.9664 0.6286 0.2973

=====

No. 8
This entry pairs a crystal structure of NaTa4Se8 with its calculated powder X-ray diffraction pattern. Radiation: Cu Ka. Structure: a cell relaxed with PBE.
Kinematic intensities with the Lorentz-polarization factor, no thermal factor.

Principal peaks in the range 2θ from 10° to 90°, by angle:
Position (°2θ)	Rel. int.
11.4	100
31.5	18
31.7	36
37.5	24
37.7	26
46.0	16
52.2	18
53.5	9

Crystal structure
abc: 7.0107 7.0107 9.8050
angles: 121.96 121.96 60.03
Fractional coordinates of all 13 atoms:
1 Na 0.0000 0.0000 0.0000
2 Ta 0.2530 0.2530 0.5010
3 Ta 0.2574 0.7426 0.5000
4 Ta 0.7426 0.2574 0.5000
5 Ta 0.7470 0.7470 0.4990
6 Se 0.0211 0.0211 0.7095
7 Se 0.0237 0.5202 0.7142
8 Se 0.4757 0.4757 0.2817
9 Se 0.4798 0.9763 0.2858
10 Se 0.5202 0.0237 0.7142
11 Se 0.5243 0.5243 0.7183
12 Se 0.9763 0.4798 0.2858
13 Se 0.9789 0.9789 0.2905